Diffraction record for CrH6SO7. The powder XRD pattern is calculated, not measured: it uses a DFT-relaxed cell (GGA+U, Alexandria) and λ = 1.5418 Å (Cu Kα).
Neutral-atom scattering factors, no anomalous dispersion.

Largest 10 diffraction maxima, by intensity, 2θ = 15–90°:
| d_spacing | 2theta | intensity |
| --- | --- | --- |
| 4.484 | 19.80 | 100 |
| 3.353 | 26.59 | 71 |
| 3.762 | 23.65 | 65 |
| 5.289 | 16.76 | 59 |
| 2.554 | 35.14 | 53 |
| 3.530 | 25.23 | 52 |
| 2.965 | 30.14 | 49 |
| 3.138 | 28.45 | 44 |
| 4.185 | 21.23 | 30 |
| 2.336 | 38.53 | 27 |

Cell and atoms:
a = 5.774 Å, b = 7.294 Å, c = 7.547 Å
α = 88.26°, β = 85.43°, γ = 66.81°
Space group P1 (No. 1)
One atom of each set of equivalent atoms:
1 Cr 0.000 0.000 0.000 [1 per cell]
2 Cr 0.266 0.467 0.500 [1 per cell]
3 H 0.003 0.357 0.273 [1 per cell]
4 H 0.098 0.947 0.641 [1 per cell]
5 H 0.159 0.131 0.705 [1 per cell]
6 H 0.311 0.520 0.141 [1 per cell]
7 H 0.430 0.893 0.199 [1 per cell]
8 H 0.499 0.780 0.012 [1 per cell]
9 H 0.525 0.051 0.962 [1 per cell]
10 H 0.546 0.687 0.511 [1 per cell]
11 H 0.555 0.337 0.205 [1 per cell]
12 H 0.589 0.575 0.699 [1 per cell]
13 H 0.628 0.110 0.773 [1 per cell]
14 H 0.842 0.416 0.462 [1 per cell]
15 S 0.748 0.968 0.419 [1 per cell]
16 S 0.981 0.499 0.919 [1 per cell]
17 O 0.005 0.335 0.047 [1 per cell]
18 O 0.016 0.360 0.404 [1 per cell]
19 O 0.086 0.636 0.992 [1 per cell]
20 O 0.128 0.405 0.749 [1 per cell]
21 O 0.158 0.000 0.741 [1 per cell]
22 O 0.374 0.903 0.076 [1 per cell]
23 O 0.424 0.467 0.240 [1 per cell]
24 O 0.543 0.565 0.576 [1 per cell]
25 O 0.592 0.854 0.381 [1 per cell]
26 O 0.607 0.132 0.547 [1 per cell]
27 O 0.644 0.106 0.904 [1 per cell]
28 O 0.712 0.612 0.882 [1 per cell]
29 O 0.800 0.063 0.248 [1 per cell]
30 O 0.989 0.832 0.491 [1 per cell]